Structure and calculated X-ray powder pattern of Li2Be17B3 (a DFT-relaxed cell (PBE, Alexandria); CuKα).
Neutral-atom scattering factors, no anomalous dispersion.

Most intense lines, 2θ = 10–90°, low angle first:
| two_theta | intensity |
| --- | --- |
| 15.21 | 30 |
| 22.46 | 54 |
| 27.24 | 25 |
| 45.85 | 100 |
| 46.78 | 37 |
| 49.50 | 45 |
| 54.15 | 28 |
| 69.76 | 37 |

Structural model:
```
data_Li2Be17B3
_space_group_name_H-M_alt 'R -3 m'
_space_group_IT_number 166
_space_group_name_Hall '-R 3 2"'
_cell_length_a 7.9165
_cell_length_b 7.9165
_cell_length_c 11.0483
_cell_angle_alpha 90.00
_cell_angle_beta 90.00
_cell_angle_gamma 120.00
loop_
_atom_site_label
_atom_site_fract_x
_atom_site_fract_y
_atom_site_fract_z
_atom_site_occupancy
Li1 0.0000 0.0000 0.1625 1
Be1 0.0000 0.0000 0.4021 1
Be2 0.0000 0.2676 0.5000 1
Be3 0.0000 0.5000 0.0000 1
Be4 0.0119 0.5059 0.3359 1
B1 0.0000 0.5000 0.5000 1
```

Structure and calculated X-ray powder pattern of Li2BeB (a DFT-relaxed cell (PBE, Alexandria); CuKα).
Neutral-atom scattering factors, no anomalous dispersion.

Most intense lines, 2θ = 10–90°, low angle first:
| two_theta | intensity |
| --- | --- |
| 19.78 | 100 |
| 27.12 | 14 |
| 40.18 | 29 |
| 45.17 | 12 |
| 53.87 | 7 |
| 58.13 | 9 |
| 61.86 | 9 |
| 76.37 | 5 |

Structural model:
```
data_Li2BeB
_space_group_name_H-M_alt 'I -4 2 d'
_space_group_IT_number 122
_space_group_name_Hall 'I -4 2bw'
_cell_length_a 8.9765
_cell_length_b 8.9765
_cell_length_c 3.5334
_cell_angle_alpha 90.00
_cell_angle_beta 90.00
_cell_angle_gamma 90.00
loop_
_atom_site_label
_atom_site_fract_x
_atom_site_fract_y
_atom_site_fract_z
_atom_site_occupancy
Li1 0.0034 0.2500 0.1250 1
Be1 0.0000 0.0000 0.5000 1
B1 0.0000 0.0000 0.0000 1
```

Structure and calculated X-ray powder pattern of LiBeB5 (a DFT-relaxed cell (PBE, Alexandria); CuKα).
Neutral-atom scattering factors, no anomalous dispersion.

Most intense lines, 2θ = 10–90°, low angle first:
| two_theta | intensity |
| --- | --- |
| 20.34 | 100 |
| 33.91 | 4 |
| 41.35 | 6 |
| 43.74 | 13 |
| 63.19 | 5 |
| 63.86 | 4 |
| 64.05 | 4 |
| 67.89 | 4 |

Structural model:
```
data_LiBeB5
_space_group_name_H-M_alt 'P -1'
_space_group_IT_number 2
_space_group_name_Hall '-P 1'
_cell_length_a 3.3908
_cell_length_b 4.4523
_cell_length_c 8.7333
_cell_angle_alpha 90.05
_cell_angle_beta 90.15
_cell_angle_gamma 101.60
loop_
_atom_site_label
_atom_site_fract_x
_atom_site_fract_y
_atom_site_fract_z
_atom_site_occupancy
Li1 0.0000 0.0000 0.0000 1
Li2 0.0000 0.5000 0.5000 1
Be1 0.0013 0.0003 0.3650 1
B1 0.1622 0.6718 0.2168 1
B2 0.1618 0.6720 0.7831 1
B3 0.3303 0.3341 0.7266 1
B4 0.3315 0.3343 0.2735 1
B5 0.5002 0.9999 0.2176 1
```

Structure and calculated X-ray powder pattern of MgBe2B (a DFT-relaxed cell (PBE, Alexandria); CuKα).
Neutral-atom scattering factors, no anomalous dispersion.

Most intense lines, 2θ = 10–90°, low angle first:
| two_theta | intensity |
| --- | --- |
| 30.64 | 100 |
| 30.82 | 47 |
| 36.05 | 86 |
| 36.21 | 45 |
| 37.60 | 61 |
| 49.26 | 54 |
| 54.69 | 45 |
| 68.27 | 37 |

Structural model:
```
data_MgBe2B
_space_group_name_H-M_alt 'P m m n'
_space_group_IT_number 59
_cell_length_a 3.3756
_cell_length_b 5.8031
_cell_length_c 4.7843
_cell_angle_alpha 90.00
_cell_angle_beta 90.00
_cell_angle_gamma 90.00
loop_
_space_group_symop_operation_xyz
'x,y,z'
'-x,-y,-z'
'-x+1/2,-y+1/2,z'
'x+1/2,y+1/2,-z'
'x+1/2,-y,-z'
'-x+1/2,y,z'
'-x,y+1/2,-z'
'x,-y+1/2,z'
loop_
_atom_site_label
_atom_site_fract_x
_atom_site_fract_y
_atom_site_fract_z
_atom_site_occupancy
Mg1 0.2500 0.2500 0.0014 1
Be1 0.2500 0.5797 0.5698 1
B1 0.2500 0.2500 0.5049 1
```

Structure and calculated X-ray powder pattern of MgBe2B4 (a DFT-relaxed cell (PBE, Alexandria); CuKα).
Neutral-atom scattering factors, no anomalous dispersion.

Most intense lines, 2θ = 10–90°, low angle first:
| two_theta | intensity |
| --- | --- |
| 10.26 | 100 |
| 36.55 | 38 |
| 40.95 | 49 |
| 47.52 | 31 |
| 53.12 | 10 |
| 55.71 | 9 |
| 62.75 | 20 |
| 86.67 | 15 |

Structural model:
```
data_MgBe2B4
_space_group_name_H-M_alt 'P -3 m 1'
_space_group_IT_number 164
_space_group_name_Hall '-P 3 2"'
_cell_length_a 2.9616
_cell_length_b 2.9616
_cell_length_c 8.6203
_cell_angle_alpha 90.00
_cell_angle_beta 90.00
_cell_angle_gamma 120.00
loop_
_atom_site_label
_atom_site_fract_x
_atom_site_fract_y
_atom_site_fract_z
_atom_site_occupancy
Mg1 0.0000 0.0000 0.0000 1
Be1 0.3333 0.6667 0.5943 1
B1 0.3333 0.6667 0.2240 1
B2 0.3333 0.6667 0.8027 1
```

Structure and calculated X-ray powder pattern of MgBe2B (a DFT-relaxed cell (PBE, Alexandria); CuKα).
Neutral-atom scattering factors, no anomalous dispersion.

Most intense lines, 2θ = 10–90°, low angle first:
| two_theta | intensity |
| --- | --- |
| 30.61 | 100 |
| 36.02 | 93 |
| 37.58 | 45 |
| 49.21 | 54 |
| 54.40 | 46 |
| 66.80 | 14 |
| 66.99 | 15 |
| 68.00 | 41 |

Structural model:
```
data_MgBe2B
_space_group_name_H-M_alt 'P -3 m 1'
_space_group_IT_number 164
_space_group_name_Hall '-P 3 2"'
_cell_length_a 3.3730
_cell_length_b 3.3730
_cell_length_c 4.7872
_cell_angle_alpha 90.00
_cell_angle_beta 90.00
_cell_angle_gamma 120.00
loop_
_atom_site_label
_atom_site_fract_x
_atom_site_fract_y
_atom_site_fract_z
_atom_site_occupancy
Mg1 0.0000 0.0000 0.0000 1
Be1 0.3333 0.6667 0.5528 1
B1 0.0000 0.0000 0.5000 1
```

Structure and calculated X-ray powder pattern of MgBeB5 (a DFT-relaxed cell (PBE, Alexandria); CuKα).
Neutral-atom scattering factors, no anomalous dispersion.

Most intense lines, 2θ = 10–90°, low angle first:
| two_theta | intensity |
| --- | --- |
| 17.98 | 91 |
| 20.07 | 100 |
| 26.94 | 62 |
| 29.10 | 68 |
| 36.43 | 65 |
| 39.02 | 58 |
| 39.17 | 68 |
| 41.13 | 24 |

Structural model:
```
data_MgBeB5
_space_group_name_H-M_alt 'C 1 2/c 1'
_space_group_IT_number 15
_space_group_name_Hall '-C 2yc'
_cell_length_a 9.8653
_cell_length_b 3.4689
_cell_length_c 8.8490
_cell_angle_alpha 90.00
_cell_angle_beta 90.56
_cell_angle_gamma 90.00
loop_
_atom_site_label
_atom_site_fract_x
_atom_site_fract_y
_atom_site_fract_z
_atom_site_occupancy
Mg1 0.2500 0.2500 0.0000 1
Be1 0.0000 0.1086 0.7500 1
B1 0.0000 0.3894 0.2500 1
B2 0.0226 0.3715 0.5795 1
B3 0.0665 0.1453 0.4166 1
```

Structure and calculated X-ray powder pattern of PuBeB2N4 (a DFT-relaxed cell (PBE, Alexandria); CuKα).
Neutral-atom scattering factors, no anomalous dispersion.

Most intense lines, 2θ = 10–90°, low angle first:
| two_theta | intensity |
| --- | --- |
| 17.66 | 67 |
| 23.64 | 100 |
| 26.84 | 77 |
| 32.25 | 51 |
| 34.44 | 35 |
| 37.61 | 32 |
| 39.26 | 31 |
| 48.39 | 36 |

Structural model:
```
data_PuBeB2N4
_space_group_name_H-M_alt 'C 1 m 1'
_space_group_IT_number 8
_space_group_name_Hall 'C -2y'
_cell_length_a 5.3930
_cell_length_b 5.4400
_cell_length_c 5.1973
_cell_angle_alpha 90.00
_cell_angle_beta 104.86
_cell_angle_gamma 90.00
loop_
_atom_site_label
_atom_site_fract_x
_atom_site_fract_y
_atom_site_fract_z
_atom_site_occupancy
Pu1 0.0000 0.0000 0.0000 1
Be1 0.0685 0.5000 0.2667 1
B1 0.3921 0.2407 0.5701 1
N1 0.1874 0.2504 0.7508 1
N2 0.3461 0.0000 0.4008 1
N3 0.3560 0.5000 0.3976 1
```

Structure and calculated X-ray powder pattern of NaBeB3O6 (a DFT-relaxed cell (PBE, Alexandria); CuKα).
Neutral-atom scattering factors, no anomalous dispersion.

Most intense lines, 2θ = 10–90°, low angle first:
| two_theta | intensity |
| --- | --- |
| 12.07 | 46 |
| 26.46 | 19 |
| 27.69 | 100 |
| 28.67 | 64 |
| 36.17 | 13 |
| 42.30 | 15 |
| 43.48 | 17 |
| 44.80 | 17 |

Structural model:
```
data_NaBeB3O6
_space_group_name_H-M_alt 'P n a 21'
_space_group_IT_number 33
_space_group_name_Hall 'P 2c -2n'
_cell_length_a 9.2063
_cell_length_b 12.1320
_cell_length_c 4.5091
_cell_angle_alpha 90.00
_cell_angle_beta 90.00
_cell_angle_gamma 90.00
loop_
_atom_site_label
_atom_site_fract_x
_atom_site_fract_y
_atom_site_fract_z
_atom_site_occupancy
Na1 0.1787 0.1155 0.0000 1
Be1 0.0923 0.5396 0.0228 1
B1 0.0699 0.7504 0.0884 1
B2 0.0855 0.3369 0.2139 1
B3 0.2220 0.8910 0.3639 1
O1 0.0327 0.2440 0.3566 1
O2 0.0369 0.4414 0.2621 1
O3 0.1030 0.8556 0.1978 1
O4 0.1224 0.6546 0.1874 1
O5 0.1980 0.3111 0.0194 1
O6 0.2414 0.4977 0.8702 1
```

Structure and calculated X-ray powder pattern of Na2BeB2O5 (a DFT-relaxed cell (PBE, Alexandria); CuKα).
Neutral-atom scattering factors, no anomalous dispersion.

Most intense lines, 2θ = 10–90°, low angle first:
| two_theta | intensity |
| --- | --- |
| 28.82 | 100 |
| 29.51 | 16 |
| 37.17 | 29 |
| 45.55 | 20 |
| 45.83 | 37 |
| 49.15 | 18 |
| 52.09 | 14 |
| 76.03 | 14 |

Structural model:
```
data_Na2BeB2O5
_space_group_name_H-M_alt 'C 1 2/c 1'
_space_group_IT_number 15
_space_group_name_Hall '-C 2yc'
_cell_length_a 5.9094
_cell_length_b 8.1665
_cell_length_c 9.1140
_cell_angle_alpha 90.00
_cell_angle_beta 98.20
_cell_angle_gamma 90.00
loop_
_atom_site_label
_atom_site_fract_x
_atom_site_fract_y
_atom_site_fract_z
_atom_site_occupancy
Na1 0.0100 0.1949 0.0715 1
Be1 0.0000 0.2109 0.7500 1
B1 0.1660 0.4942 0.6783 1
O1 0.0000 0.4240 0.2500 1
O2 0.1518 0.3293 0.6561 1
O3 0.1650 0.0894 0.8669 1
```

Structure and calculated X-ray powder pattern of Be2Nb4B (a DFT-relaxed cell (PBE, Alexandria); CuKα).
Neutral-atom scattering factors, no anomalous dispersion.

Most intense lines, 2θ = 10–90°, low angle first:
| two_theta | intensity |
| --- | --- |
| 31.52 | 27 |
| 32.72 | 100 |
| 40.48 | 43 |
| 43.58 | 13 |
| 45.85 | 15 |
| 52.19 | 13 |
| 58.58 | 14 |
| 68.74 | 22 |

Structural model:
```
data_Be2Nb4B
_space_group_name_H-M_alt 'I 4/m m m'
_space_group_IT_number 139
_space_group_name_Hall '-I 4 2'
_cell_length_a 4.4567
_cell_length_b 4.4567
_cell_length_c 11.0438
_cell_angle_alpha 90.00
_cell_angle_beta 90.00
_cell_angle_gamma 90.00
loop_
_atom_site_label
_atom_site_fract_x
_atom_site_fract_y
_atom_site_fract_z
_atom_site_occupancy
Be1 0.0000 0.0000 0.0943 1
Nb1 0.0000 0.0000 0.3084 1
Nb2 0.0000 0.5000 0.0000 1
B1 0.0000 0.0000 0.5000 1
```

Structure and calculated X-ray powder pattern of BeNb5B2 (a DFT-relaxed cell (PBE, Alexandria); CuKα).
Neutral-atom scattering factors, no anomalous dispersion.

Most intense lines, 2θ = 10–90°, low angle first:
| two_theta | intensity |
| --- | --- |
| 33.15 | 78 |
| 37.22 | 28 |
| 39.99 | 100 |
| 42.72 | 65 |
| 46.20 | 42 |
| 65.75 | 29 |
| 66.63 | 26 |
| 72.32 | 27 |

Structural model:
```
data_BeNb5B2
_space_group_name_H-M_alt 'I 4/m c m'
_space_group_IT_number 140
_space_group_name_Hall '-I 4 2c'
_cell_length_a 6.2139
_cell_length_b 6.2139
_cell_length_c 11.5675
_cell_angle_alpha 90.00
_cell_angle_beta 90.00
_cell_angle_gamma 90.00
loop_
_atom_site_label
_atom_site_fract_x
_atom_site_fract_y
_atom_site_fract_z
_atom_site_occupancy
Be1 0.0000 0.0000 0.2500 1
Nb1 0.0000 0.0000 0.0000 1
Nb2 0.1740 0.3260 0.1386 1
B1 0.1092 0.3908 0.5000 1
```

Repeat the ninth record exactly.
Structure and calculated X-ray powder pattern of NaBeB3O6 (a DFT-relaxed cell (PBE, Alexandria); CuKα).
Neutral-atom scattering factors, no anomalous dispersion.

Most intense lines, 2θ = 10–90°, low angle first:
| two_theta | intensity |
| --- | --- |
| 12.07 | 46 |
| 26.46 | 19 |
| 27.69 | 100 |
| 28.67 | 64 |
| 36.17 | 13 |
| 42.30 | 15 |
| 43.48 | 17 |
| 44.80 | 17 |

Structural model:
```
data_NaBeB3O6
_space_group_name_H-M_alt 'P n a 21'
_space_group_IT_number 33
_space_group_name_Hall 'P 2c -2n'
_cell_length_a 9.2063
_cell_length_b 12.1320
_cell_length_c 4.5091
_cell_angle_alpha 90.00
_cell_angle_beta 90.00
_cell_angle_gamma 90.00
loop_
_atom_site_label
_atom_site_fract_x
_atom_site_fract_y
_atom_site_fract_z
_atom_site_occupancy
Na1 0.1787 0.1155 0.0000 1
Be1 0.0923 0.5396 0.0228 1
B1 0.0699 0.7504 0.0884 1
B2 0.0855 0.3369 0.2139 1
B3 0.2220 0.8910 0.3639 1
O1 0.0327 0.2440 0.3566 1
O2 0.0369 0.4414 0.2621 1
O3 0.1030 0.8556 0.1978 1
O4 0.1224 0.6546 0.1874 1
O5 0.1980 0.3111 0.0194 1
O6 0.2414 0.4977 0.8702 1
```